Computed powder X-ray diffraction pattern of LiV6O13 for Cu Kα (λ = 1.5418 Å), from a crystal structure in Alexandria, relaxed with PBE+U.
Kinematic intensities with the Lorentz-polarization factor, no thermal factor.

Most intense lines, 2θ from 5° to 70°, by angle:
| index | d/Å | Rel. int. |
| --- | --- | --- |
| 0 1 -2 | 5.953 | 32 |
| 0 2 0 | 5.263 | 31 |
| 1 -1 1 | 3.557 | 100 |
| 0 3 0 | 3.508 | 62 |
| 0 1 -4 | 3.021 | 30 |
| 2 -1 0 | 1.864 | 37 |

Structure:
a b c (Å): 3.7279 11.4118 12.1352
angles (deg): 110.44 90.35 99.39
Atoms (fractional coordinates):
Li: 0.1914 0.3659 0.2646
Li: 0.8086 0.6341 0.7354
V: 0.0692 0.1442 0.7828
V: 0.0779 0.1051 0.4598
V: 0.2210 0.4937 0.8894
V: 0.2283 0.4506 0.5757
V: 0.4261 0.8562 0.0171
V: 0.4319 0.8718 0.7304
V: 0.5681 0.1282 0.2696
V: 0.5739 0.1438 0.9829
V: 0.7717 0.5494 0.4243
V: 0.7790 0.5063 0.1106
V: 0.9221 0.8949 0.5402
V: 0.9308 0.8558 0.2172
O: 0.0393 0.0816 0.6062
O: 0.0455 0.0828 0.2836
O: 0.0634 0.1249 0.9408
O: 0.1454 0.3050 0.8211
O: 0.1463 0.2910 0.5304
O: 0.2447 0.4927 0.4278
O: 0.2483 0.4986 0.0700
O: 0.2648 0.5047 0.7460
O: 0.3425 0.6972 0.9517
O: 0.3535 0.7137 0.6959
O: 0.4365 0.8875 0.5683
O: 0.4521 0.8999 0.1969
O: 0.4546 0.9142 0.9001
O: 0.5454 0.0858 0.0999
O: 0.5479 0.1001 0.8031
O: 0.5635 0.1125 0.4317
O: 0.6465 0.2863 0.3041
O: 0.6575 0.3028 0.0483
O: 0.7352 0.4953 0.2540
O: 0.7517 0.5014 0.9300
O: 0.7553 0.5073 0.5722
O: 0.8537 0.7090 0.4696
O: 0.8546 0.6950 0.1789
O: 0.9366 0.8751 0.0592
O: 0.9545 0.9172 0.7164
O: 0.9607 0.9184 0.3938